Entry 1:
Diffraction record for Tm2Ag2Pt. The powder diffraction line list is simulated, not measured: it uses a cell relaxed with PBE and Cu Kα (λ = 1.5418 Å).

The 10 most intense peaks (2θ = 15–90°), sorted by position:
24.45 deg, I = 36.1
29.19 deg, I = 32.9
31.78 deg, I = 86.2
32.96 deg, I = 41.2
38.93 deg, I = 24.9
39.14 deg, I = 56.5
39.72 deg, I = 55.7
41.18 deg, I = 100.0
42.49 deg, I = 30.8
52.54 deg, I = 22.5

Structure:
```
Tm2Ag2Pt
1.0
3.7565 -2.2693 0.0000
3.7565 2.2693 0.0000
-2.6628 0.0000 6.7266
Tm Ag Pt
2 2 1
direct
0.0943 0.0943 0.3012
0.9057 0.9057 0.6988
0.3516 0.3516 0.0640
0.6484 0.6484 0.9360
0.5000 0.5000 0.5000
```

Entry 2:
Diffraction record for UAgPt4. The powder diffraction line list is simulated, not measured: it uses a cell relaxed with PBE and Cu Kα (λ = 1.5418 Å).

The 10 most intense peaks (2θ = 15–90°), sorted by position:
20.34 deg, I = 11.8
33.52 deg, I = 22.9
39.53 deg, I = 100.0
41.37 deg, I = 44.7
48.14 deg, I = 6.7
59.94 deg, I = 8.7
63.99 deg, I = 33.0
70.45 deg, I = 28.9
83.92 deg, I = 12.0
85.12 deg, I = 17.7

Structure:
```
UAgPt4
1.0
0.0000 3.7803 3.7803
3.7803 0.0000 3.7803
3.7803 3.7803 0.0000
U Ag Pt
1 1 4
direct
0.0000 0.0000 0.0000
0.7500 0.7500 0.7500
0.3755 0.3755 0.3755
0.3755 0.3755 0.8735
0.3755 0.8735 0.3755
0.8735 0.3755 0.3755
```

Entry 3:
Diffraction record for Y3AgPt8. The powder diffraction line list is simulated, not measured: it uses a cell relaxed with PBE and Cu Kα (λ = 1.5418 Å).

The 10 most intense peaks (2θ = 15–90°), sorted by position:
20.10 deg, I = 40.6
33.11 deg, I = 10.4
39.03 deg, I = 100.0
40.85 deg, I = 65.7
47.52 deg, I = 18.9
52.09 deg, I = 11.3
63.12 deg, I = 29.8
69.47 deg, I = 30.7
82.65 deg, I = 8.6
83.83 deg, I = 19.4

Structure:
```
Y3AgPt8
1.0
2.7073 1.5630 8.8275
-2.7073 1.5630 8.8275
0.0000 -3.1261 8.8275
Y Ag Pt
3 1 8
direct
0.0000 0.0000 0.0000
0.1299 0.1299 0.1299
0.6122 0.6122 0.6122
0.4930 0.4930 0.4930
0.0588 0.5596 0.5596
0.0595 0.0595 0.5642
0.0595 0.5642 0.0595
0.3103 0.3103 0.3103
0.5596 0.0588 0.5596
0.5596 0.5596 0.0588
0.5642 0.0595 0.0595
0.8104 0.8104 0.8104
```

Entry 4:
Diffraction record for Y2AgPt. The powder diffraction line list is simulated, not measured: it uses a cell relaxed with PBE and Cu Kα (λ = 1.5418 Å).

The 10 most intense peaks (2θ = 15–90°), sorted by position:
16.54 deg, I = 24.4
24.88 deg, I = 22.7
31.59 deg, I = 100.0
33.43 deg, I = 26.8
38.83 deg, I = 70.5
39.72 deg, I = 92.8
47.93 deg, I = 20.2
63.32 deg, I = 32.8
65.79 deg, I = 24.3
73.55 deg, I = 17.6

Structure:
```
Y2AgPt
1.0
4.6354 0.0000 0.0000
0.0000 1.8981 5.3609
0.0000 -1.8981 5.3609
Y Ag Pt
2 1 1
direct
0.0000 0.0000 0.0000
0.5000 0.2773 0.2773
0.0000 0.7211 0.7211
0.5000 0.5532 0.5532
```

Entry 5:
Diffraction record for Y5Ag2Pt2. The powder diffraction line list is simulated, not measured: it uses a cell relaxed with PBE and Cu Kα (λ = 1.5418 Å).

The 10 most intense peaks (2θ = 15–90°), sorted by position:
23.85 deg, I = 28.7
28.89 deg, I = 46.9
31.13 deg, I = 100.0
33.20 deg, I = 34.9
33.34 deg, I = 39.2
35.31 deg, I = 100.0
37.05 deg, I = 62.7
38.38 deg, I = 53.0
39.04 deg, I = 46.1
44.24 deg, I = 33.2

Structure:
```
Y5Ag2Pt2
1.0
7.7411 -3.7363 0.0000
7.7411 3.7363 0.0000
0.0000 0.0000 7.8049
Y Ag Pt
10 4 4
direct
0.0000 0.0000 0.0000
0.0420 0.7003 0.6736
0.2003 0.5420 0.1736
0.2997 0.9580 0.6736
0.4580 0.7997 0.1736
0.5000 0.5000 0.5000
0.5420 0.2003 0.8264
0.7003 0.0420 0.3264
0.7997 0.4580 0.8264
0.9580 0.2997 0.3264
0.2101 0.2101 0.0000
0.2899 0.2899 0.5000
0.7101 0.7101 0.5000
0.7899 0.7899 0.0000
0.1301 0.8699 0.3669
0.3699 0.6301 0.8669
0.6301 0.3699 0.1331
0.8699 0.1301 0.6331
```

Entry 6:
Diffraction record for YAgPt. The powder diffraction line list is simulated, not measured: it uses a cell relaxed with PBE and Cu Kα (λ = 1.5418 Å).

The 10 most intense peaks (2θ = 15–90°), sorted by position:
33.40 deg, I = 56.6
34.65 deg, I = 44.0
35.14 deg, I = 100.0
35.57 deg, I = 33.2
36.06 deg, I = 16.4
41.05 deg, I = 27.0
42.20 deg, I = 32.6
43.47 deg, I = 21.8
44.63 deg, I = 24.8
47.89 deg, I = 24.0

Structure:
```
YAgPt
1.0
5.1112 0.0000 0.0000
2.5453 4.5748 0.0000
0.2799 1.1710 5.3649
Y Ag Pt
2 2 2
direct
0.1946 0.0848 0.2109
0.8054 0.9152 0.7891
0.4724 0.5938 0.7313
0.5276 0.4062 0.2687
0.1458 0.2533 0.6872
0.8542 0.7467 0.3128
```

Entry 7:
Diffraction record for Zn4AgPt. The powder diffraction line list is simulated, not measured: it uses a cell relaxed with PBE and Cu Kα (λ = 1.5418 Å).

The 10 most intense peaks (2θ = 15–90°), sorted by position:
23.10 deg, I = 56.9
32.62 deg, I = 100.0
39.74 deg, I = 60.1
42.21 deg, I = 92.3
43.65 deg, I = 70.2
44.68 deg, I = 65.7
51.41 deg, I = 27.1
53.23 deg, I = 24.4
62.72 deg, I = 19.0
72.26 deg, I = 18.9

Structure:
```
Zn4AgPt
1.0
2.6666 -3.6426 0.0000
2.6666 3.6426 0.0000
-2.2152 0.0000 5.0443
Zn Ag Pt
4 1 1
direct
0.0552 0.4365 0.2584
0.4365 0.0552 0.2584
0.5635 0.9448 0.7416
0.9448 0.5635 0.7416
0.5000 0.5000 0.0000
0.0000 0.0000 0.5000
```